(1)
The following is a computed powder X-ray diffraction pattern of Pr2DyTm3Sb6. It was derived from a GGA-PBE-relaxed structure, using Cu Kα (weighted mean of Kα1 and Kα2).

Top 10 peaks for 2θ from 15° to 90°, low angle first:
2theta  Rel. int.
28.6  100
40.8  76
50.6  20
50.7  7
59.1  13
66.9  29
67.0  6
74.3  19
74.5  6
88.4  4

Cell and atoms:
```
12
Lattice="9.6260 -2.2117 0.0000 9.6260 2.2117 0.0000 -2.0078 0.0000 8.6026" Properties=species:S:1:pos:R:3 pbc="T T T"
Pr 2.5219 0.0000 2.8579
Pr 14.7223 0.0000 5.7447
Dy 9.6260 0.0000 0.0000
Tm 1.5609 0.0000 7.1747
Tm 8.6221 0.0000 4.3013
Tm 15.6833 0.0000 1.4279
Sb -1.4267 0.0000 6.4522
Sb 4.5551 0.0000 7.9725
Sb 5.6551 0.0000 3.5151
Sb 11.5891 0.0000 5.0875
Sb 12.6891 0.0000 0.6301
Sb 18.6709 0.0000 2.1504
```

***

(2)
The following is a computed powder X-ray diffraction pattern of YHg2Pb2. It was derived from a GGA-PBE-relaxed structure, using Cu Kα (weighted mean of Kα1 and Kα2).

Top 10 peaks for 2θ from 15° to 90°, low angle first:
2theta  Rel. int.
32.6  100
36.7  16
38.0  17
38.8  17
53.9  11
55.4  12
63.6  11
65.2  14
66.3  13
68.3  11

Cell and atoms:
```
10
Lattice="2.3692 -12.2327 0.0000 2.3692 12.2327 0.0000 0.0000 0.0000 4.6442" Properties=species:S:1:pos:R:3 pbc="T T T"
Y 2.3692 8.8503 3.4832
Y 2.3692 -8.8503 1.1611
Hg 2.3692 11.1640 1.1611
Hg 2.3692 1.1374 1.1611
Hg 2.3692 -1.1374 3.4832
Hg 2.3692 -11.1640 3.4832
Pb 2.3692 6.1415 1.1611
Pb 2.3692 3.4974 3.4832
Pb 2.3692 -3.4974 1.1611
Pb 2.3692 -6.1415 3.4832
```

***

(3)
The following is a computed powder X-ray diffraction pattern of Li2Tl3PtO6. It was derived from a GGA-PBE-relaxed structure, using Cu Kα (weighted mean of Kα1 and Kα2).

Top 10 peaks for 2θ from 15° to 90°, low angle first:
2theta  Rel. int.
17.4  30
22.7  62
30.4  100
34.2  80
38.3  30
46.5  44
54.1  21
56.5  42
63.3  16
74.0  19

Cell and atoms:
```
12
Lattice="5.8772 0.0000 0.0000 -2.9386 5.0898 0.0000 0.0000 0.0000 6.1063" Properties=species:S:1:pos:R:3 pbc="T T T"
Li 0.0000 3.3932 1.4423
Li 2.9386 1.6966 4.6640
Tl 0.0000 0.0000 0.0000
Tl 0.0000 3.3932 4.2489
Tl 2.9386 1.6966 1.8574
Pt 0.0000 0.0000 3.0531
O 0.0000 1.5544 1.7817
O -1.5925 4.3126 1.7817
O 1.3461 0.7772 4.3246
O 1.5925 4.3126 1.7817
O 4.5311 0.7772 4.3246
O 2.9386 3.5355 4.3246
```